Entry 1:
Structure and theoretical XRD peak list of DyThGaOs (a crystal structure in Alexandria, relaxed with GGA-PBE; Cu Kα, 1.54184 Å).
Neutral-atom scattering factors, no anomalous dispersion.

Crystal structure
```
data_DyThGaOs
_symmetry_space_group_name_H-M 'P 1'
_symmetry_Int_Tables_number 1
_symmetry_space_group_name_Hall 'P 1'
_cell_length_a 3.965
_cell_length_b 6.054
_cell_length_c 6.054
_cell_angle_alpha 40.31
_cell_angle_beta 90.00
_cell_angle_gamma 90.00
loop_
_atom_site_label
_atom_site_type_symbol
_atom_site_fract_x
_atom_site_fract_y
_atom_site_fract_z
_atom_site_occupancy
Dy1 Dy 0.000 0.000 0.000 1
Th1 Th 0.500 0.277 0.277 1
Ga1 Ga 0.500 0.572 0.572 1
Os1 Os 0.000 0.731 0.731 1
```

Peak list (10 most intense, 2θ = 10–80°, low angle first)
| Position (°2θ) | I (rel.) |
| --- | --- |
| 15.6 | 24 |
| 31.5 | 33 |
| 31.9 | 29 |
| 32.1 | 100 |
| 39.0 | 18 |
| 39.4 | 63 |
| 43.4 | 23 |
| 45.8 | 20 |
| 54.6 | 14 |
| 64.9 | 14 |

Entry 2:
Structure and theoretical XRD peak list of Dy10Ga3Bi3 (a crystal structure in Alexandria, relaxed with GGA-PBE; Cu Kα, 1.54184 Å).
Neutral-atom scattering factors, no anomalous dispersion.

Crystal structure
```
data_Dy10Ga3Bi3
_symmetry_space_group_name_H-M 'P 1'
_symmetry_Int_Tables_number 1
_symmetry_space_group_name_Hall 'P 1'
_cell_length_a 8.863
_cell_length_b 8.863
_cell_length_c 6.560
_cell_angle_alpha 90.00
_cell_angle_beta 90.00
_cell_angle_gamma 120.00
loop_
_atom_site_label
_atom_site_type_symbol
_atom_site_fract_x
_atom_site_fract_y
_atom_site_fract_z
_atom_site_occupancy
Dy1 Dy 0.000 0.238 0.000 1
Dy2 Dy 0.000 0.764 0.500 1
Dy3 Dy 0.236 0.236 0.500 1
Dy4 Dy 0.238 0.000 0.000 1
Dy5 Dy 0.333 0.667 0.236 1
Dy6 Dy 0.333 0.667 0.764 1
Dy7 Dy 0.667 0.333 0.236 1
Dy8 Dy 0.667 0.333 0.764 1
Dy9 Dy 0.762 0.762 0.000 1
Dy10 Dy 0.764 0.000 0.500 1
Ga1 Ga 0.000 0.607 0.000 1
Ga2 Ga 0.393 0.393 0.000 1
Ga3 Ga 0.607 0.000 0.000 1
Bi1 Bi 0.000 0.399 0.500 1
Bi2 Bi 0.399 0.000 0.500 1
Bi3 Bi 0.601 0.601 0.500 1
```

Peak list (10 most intense, 2θ = 10–80°, low angle first)
| Position (°2θ) | I (rel.) |
| --- | --- |
| 27.2 | 18 |
| 29.6 | 18 |
| 30.8 | 33 |
| 33.8 | 100 |
| 34.0 | 75 |
| 35.1 | 34 |
| 49.7 | 17 |
| 52.4 | 29 |
| 55.5 | 12 |
| 67.4 | 19 |